Pm4B3C5: theoretical powder X-ray diffraction pattern (Cu Ka), based on a structure optimized by DFT (GGA-PBE).
Lines closer than 0.1° are merged.

Crystal structure
a b c (Å): 10.466 3.829 9.067
angles (deg): 90.00 109.65 90.00
Space group C2/m (No. 12)
One atom of each set of equivalent atoms:
Pm (0.105, 0.000, 0.391) [4 per cell]
Pm (0.244, 0.500, 0.160) [4 per cell]
B (0.000, 0.000, 0.000) [2 per cell]
B (0.045, 0.500, 0.861) [4 per cell]
C (0.000, 0.500, 0.000) [2 per cell]
C (0.083, 0.500, 0.722) [4 per cell]
C (0.163, 0.500, 0.627) [4 per cell]

Main lines, by intensity (10 to 80 degrees two-theta):
2θ (°)	I (rel.)
30.6	100
34.8	62
34.7	62
25.9	40
23.7	33
34.3	20
32.0	20
47.5	20
40.2	19
57.1	18


Pr5B2C5: theoretical powder X-ray diffraction pattern (Cu Ka), based on a structure optimized by DFT (GGA-PBE).
Lines closer than 0.1° are merged.

Crystal structure
a b c (Å): 8.682 8.682 11.085
angles (deg): 90.00 90.00 90.00
Space group P4/ncc (No. 130, origin choice 2)
One atom of each set of equivalent atoms:
Pr (0.037, 0.657, 0.101) [16 per cell]
Pr (0.250, 0.250, 0.144) [4 per cell]
B (0.093, 0.593, 0.750) [8 per cell]
C (0.051, 0.645, 0.871) [16 per cell]
C (0.250, 0.250, 0.405) [4 per cell]

Main lines, by intensity (10 to 80 degrees two-theta):
2θ (°)	I (rel.)
28.1	100
33.6	61
33.5	50
32.6	35
55.5	34
24.3	31
32.3	30
53.1	24
46.8	18
46.6	17


Pr2B6C3: theoretical powder X-ray diffraction pattern (Cu Ka), based on a structure optimized by DFT (GGA-PBE).
Lines closer than 0.1° are merged.

Crystal structure
a b c (Å): 5.3540 5.3540 4.7262
angles (deg): 90.00 90.00 120.00
Space group P-62m (No. 189)
One atom of each set of equivalent atoms:
Pr (0.3333, 0.6667, 0.0000) [2 per cell]
B (0.0000, 0.3329, 0.5000) [3 per cell]
B (0.0000, 0.8324, 0.0000) [3 per cell]
C (0.0000, 0.6595, 0.5000) [3 per cell]

Main lines, by intensity (10 to 80 degrees two-theta):
2θ (°)	I (rel.)
38.7	100
18.8	63
33.5	50
19.1	45
26.9	40
51.6	31
38.1	23
69.2	17
73.2	16
56.0	15


PrB3C3: theoretical powder X-ray diffraction pattern (Cu Ka), based on a structure optimized by DFT (GGA-PBE).
Lines closer than 0.1° are merged.

Crystal structure
a b c (Å): 8.4968 8.4968 2.8099
angles (deg): 90.00 90.00 120.00
Space group P6_3/m (No. 176)
One atom of each set of equivalent atoms:
Pr (0.3333, 0.6667, 0.2500) [2 per cell]
B (0.0636, 0.1472, 0.7500) [6 per cell]
C (0.0322, 0.5153, 0.7500) [6 per cell]

Main lines, by intensity (10 to 80 degrees two-theta):
2θ (°)	I (rel.)
20.9	100
12.0	57
34.2	39
45.9	38
40.4	29
55.7	23
32.2	22
42.6	20
36.6	18
57.4	10